Theoretical powder diffraction line list
Compound: Mg2Sn
Radiation: Cu Kα X-rays
Structure: a DFT-relaxed cell (PBE, the Materials Project)

Structural model:
Lattice parameters (Å, degrees): 3.266 16.184 5.421 90.00 90.00 90.00
Element x y z (fractional)
Mg: 0.000 0.111 0.250
Mg: 0.000 0.223 0.750
Mg: 0.000 0.777 0.250
Mg: 0.000 0.889 0.750
Mg: 0.500 0.277 0.250
Mg: 0.500 0.389 0.750
Mg: 0.500 0.611 0.250
Mg: 0.500 0.723 0.750
Sn: 0.000 0.443 0.250
Sn: 0.000 0.557 0.750
Sn: 0.500 0.057 0.750
Sn: 0.500 0.943 0.250

Principal peaks in the range 2θ from 10° to 90°, low angle first:
2theta, intensity
10.9, 90
19.7, 38
27.5, 40
27.9, 34
32.0, 21
33.0, 42
36.2, 100
37.2, 43
42.7, 24
61.1, 22